Diffraction record for TiZnCuP3O12. The powder X-ray diffraction pattern is calculated, not measured: it uses the PBE geometry in the Materials Project and λ = 1.5418 Å (Cu Kα).
No peak broadening, texture or thermal motion is included.

Structure:
```
data_TiZnCuP3O12
_symmetry_space_group_name_H-M 'R 3 c'
_symmetry_Int_Tables_number 161
_symmetry_space_group_name_Hall 'R 3 -2"c'
_cell_length_a 8.6024
_cell_length_b 8.6024
_cell_length_c 20.7384
_cell_angle_alpha 90.00
_cell_angle_beta 90.00
_cell_angle_gamma 120.00
loop_
_atom_site_label
_atom_site_fract_x
_atom_site_fract_y
_atom_site_fract_z
_atom_site_occupancy
Ti1 0.0000 0.0000 0.0000 1
Zn1 0.0000 0.0000 0.1473 1
Cu1 0.0000 0.0000 0.2884 1
P1 0.0006 0.2941 0.3926 1
O1 0.0006 0.1880 0.4531 1
O2 0.0048 0.2043 0.3302 1
O3 0.0211 0.1836 0.0675 1
O4 0.1696 0.4837 0.3876 1
```

Top 8 peaks for 10° ≤ 2θ ≤ 90°, low angle first:
| (hkl) | d [Å] | Position (°2θ) | intensity |
| --- | --- | --- | --- |
| 1 1 0 | 4.301 | 20.65 | 100 |
| 1 1 3 | 3.652 | 24.37 | 96 |
| 1 1 6 | 2.694 | 33.25 | 81 |
| 3 0 0 | 2.483 | 36.17 | 43 |
| 1 2 8 | 1.907 | 47.68 | 35 |
| 2 2 6 | 1.826 | 49.95 | 31 |
| 4 1 0 | 1.626 | 56.62 | 28 |
| 4 1 6 | 1.471 | 63.21 | 24 |


Diffraction record for U2CuP2O20. The powder X-ray diffraction pattern is calculated, not measured: it uses the PBE geometry in the Materials Project and λ = 1.5418 Å (Cu Kα).
No peak broadening, texture or thermal motion is included.

Structure:
```
data_U2CuP2O20
_symmetry_space_group_name_H-M 'P 4 m m'
_symmetry_Int_Tables_number 99
_symmetry_space_group_name_Hall 'P 4 -2'
_cell_length_a 6.992
_cell_length_b 6.992
_cell_length_c 9.082
_cell_angle_alpha 90.00
_cell_angle_beta 90.00
_cell_angle_gamma 90.00
loop_
_atom_site_label
_atom_site_fract_x
_atom_site_fract_y
_atom_site_fract_z
_atom_site_occupancy
U1 0.000 0.000 0.000 1
U2 0.500 0.500 0.220 1
Cu1 0.000 0.000 0.504 1
P1 0.000 0.500 0.109 1
O1 0.000 0.000 0.200 1
O2 0.000 0.000 0.798 1
O3 0.000 0.253 0.511 1
O4 0.000 0.322 0.008 1
O5 0.179 0.500 0.209 1
O6 0.354 0.500 0.710 1
O7 0.500 0.500 0.020 1
O8 0.500 0.500 0.420 1
```

Top 8 peaks for 10° ≤ 2θ ≤ 90°, low angle first:
| (hkl) | d [Å] | Position (°2θ) | intensity |
| --- | --- | --- | --- |
| 1 0 1 | 5.540 | 16.00 | 37 |
| 1 1 0 | 4.944 | 17.94 | 70 |
| 1 0 2 | 3.808 | 23.36 | 100 |
| 2 0 0 | 3.496 | 25.48 | 61 |
| 2 0 1 | 3.263 | 27.33 | 28 |
| 2 1 2 | 2.576 | 34.82 | 34 |
| 3 1 0 | 2.211 | 40.81 | 21 |
| 3 0 2 | 2.074 | 43.65 | 22 |


Diffraction record for UCu2P2O10. The powder X-ray diffraction pattern is calculated, not measured: it uses the PBE geometry in the Materials Project and λ = 1.5418 Å (Cu Kα).
No peak broadening, texture or thermal motion is included.

Structure:
```
data_UCu2P2O10
_symmetry_space_group_name_H-M 'C 1 2/m 1'
_symmetry_Int_Tables_number 12
_symmetry_space_group_name_Hall '-C 2y'
_cell_length_a 14.295
_cell_length_b 5.826
_cell_length_c 5.090
_cell_angle_alpha 90.00
_cell_angle_beta 106.36
_cell_angle_gamma 90.00
loop_
_atom_site_label
_atom_site_fract_x
_atom_site_fract_y
_atom_site_fract_z
_atom_site_occupancy
U1 0.000 0.000 0.000 1
Cu1 0.250 0.250 0.500 1
P1 0.150 0.500 0.922 1
O1 0.088 0.282 0.873 1
O2 0.090 0.000 0.337 1
O3 0.216 0.500 0.722 1
O4 0.219 0.500 0.224 1
```

Top 8 peaks for 10° ≤ 2θ ≤ 90°, low angle first:
| (hkl) | d [Å] | Position (°2θ) | intensity |
| --- | --- | --- | --- |
| 1 1 0 | 5.363 | 16.53 | 85 |
| 2 0 -1 | 4.644 | 19.11 | 85 |
| 1 1 -1 | 3.827 | 23.24 | 50 |
| 3 1 0 | 3.597 | 24.75 | 100 |
| 2 0 1 | 3.535 | 25.19 | 77 |
| 4 0 0 | 3.429 | 25.99 | 49 |
| 3 1 -1 | 3.262 | 27.34 | 82 |
| 0 2 1 | 2.502 | 35.89 | 47 |


Diffraction record for UCuPO. The powder X-ray diffraction pattern is calculated, not measured: it uses the PBE geometry in the Materials Project and λ = 1.5418 Å (Cu Kα).
No peak broadening, texture or thermal motion is included.

Structure:
```
data_UCuPO
_symmetry_space_group_name_H-M 'P 4/n m m'
_symmetry_Int_Tables_number 129
_cell_length_a 3.752
_cell_length_b 3.752
_cell_length_c 8.280
_cell_angle_alpha 90.00
_cell_angle_beta 90.00
_cell_angle_gamma 90.00
loop_
_symmetry_equiv_pos_as_xyz
'x,y,z'
'-x,-y,-z'
'-y+1/2,x,z'
'y+1/2,-x,-z'
'-x+1/2,-y+1/2,z'
'x+1/2,y+1/2,-z'
'y,-x+1/2,z'
'-y,x+1/2,-z'
'x+1/2,-y,-z'
'-x+1/2,y,z'
'-y,-x,-z'
'y,x,z'
'-x,y+1/2,-z'
'x,-y+1/2,z'
'y+1/2,x+1/2,-z'
'-y+1/2,-x+1/2,z'
loop_
_atom_site_label
_atom_site_fract_x
_atom_site_fract_y
_atom_site_fract_z
_atom_site_occupancy
U1 0.250 0.250 0.163 1
Cu1 0.250 0.750 0.500 1
P1 0.250 0.250 0.677 1
O1 0.250 0.750 0.000 1
```

Top 8 peaks for 10° ≤ 2θ ≤ 90°, low angle first:
| (hkl) | d [Å] | Position (°2θ) | intensity |
| --- | --- | --- | --- |
| 1 0 1 | 3.418 | 26.07 | 90 |
| 1 0 2 | 2.780 | 32.20 | 100 |
| 0 0 3 | 2.760 | 32.44 | 30 |
| 1 1 1 | 2.527 | 35.53 | 37 |
| 1 1 2 | 2.234 | 40.38 | 46 |
| 2 0 0 | 1.876 | 48.52 | 37 |
| 1 0 4 | 1.813 | 50.34 | 27 |
| 2 1 2 | 1.555 | 59.43 | 36 |


Diffraction record for U2CuP2O20. The powder X-ray diffraction pattern is calculated, not measured: it uses the PBE geometry in the Materials Project and λ = 1.5418 Å (Cu Kα).
No peak broadening, texture or thermal motion is included.

Structure:
```
data_U2CuP2O20
_symmetry_space_group_name_H-M 'P 4/n m m'
_symmetry_Int_Tables_number 129
_cell_length_a 7.011
_cell_length_b 7.011
_cell_length_c 18.052
_cell_angle_alpha 90.00
_cell_angle_beta 90.00
_cell_angle_gamma 90.00
loop_
_symmetry_equiv_pos_as_xyz
'x,y,z'
'-x,-y,-z'
'-y+1/2,x,z'
'y+1/2,-x,-z'
'-x+1/2,-y+1/2,z'
'x+1/2,y+1/2,-z'
'y,-x+1/2,z'
'-y,x+1/2,-z'
'x+1/2,-y,-z'
'-x+1/2,y,z'
'-y,-x,-z'
'y,x,z'
'-x,y+1/2,-z'
'x,-y+1/2,z'
'y+1/2,x+1/2,-z'
'-y+1/2,-x+1/2,z'
loop_
_atom_site_label
_atom_site_fract_x
_atom_site_fract_y
_atom_site_fract_z
_atom_site_occupancy
U1 0.250 0.250 0.054 1
U2 0.250 0.250 0.556 1
Cu1 0.250 0.250 0.811 1
P1 0.250 0.750 0.000 1
P2 0.250 0.750 0.500 1
O1 0.072 0.072 0.805 1
O2 0.072 0.750 0.950 1
O3 0.073 0.750 0.449 1
O4 0.147 0.147 0.316 1
O5 0.250 0.250 0.155 1
O6 0.250 0.250 0.456 1
O7 0.250 0.250 0.657 1
O8 0.250 0.250 0.953 1
```

Top 8 peaks for 10° ≤ 2θ ≤ 90°, low angle first:
| (hkl) | d [Å] | Position (°2θ) | intensity |
| --- | --- | --- | --- |
| 1 0 2 | 5.537 | 16.01 | 32 |
| 1 1 0 | 4.957 | 17.89 | 76 |
| 1 0 4 | 3.795 | 23.44 | 100 |
| 2 0 0 | 3.505 | 25.41 | 53 |
| 2 0 2 | 3.268 | 27.29 | 36 |
| 2 1 4 | 2.575 | 34.85 | 35 |
| 3 1 0 | 2.217 | 40.70 | 19 |
| 3 2 4 | 1.786 | 51.16 | 24 |


Diffraction record for ZnCuP2O7. The powder X-ray diffraction pattern is calculated, not measured: it uses the PBE geometry in the Materials Project and λ = 1.5418 Å (Cu Kα).
No peak broadening, texture or thermal motion is included.

Structure:
```
data_ZnCuP2O7
_symmetry_space_group_name_H-M 'C 1 2 1'
_symmetry_Int_Tables_number 5
_symmetry_space_group_name_Hall 'C 2y'
_cell_length_a 6.886
_cell_length_b 8.274
_cell_length_c 4.615
_cell_angle_alpha 90.00
_cell_angle_beta 108.43
_cell_angle_gamma 90.00
loop_
_atom_site_label
_atom_site_fract_x
_atom_site_fract_y
_atom_site_fract_z
_atom_site_occupancy
Zn1 0.000 0.000 0.000 1
Cu1 0.000 0.380 0.000 1
P1 0.203 0.698 0.408 1
O1 0.000 0.722 0.500 1
O2 0.122 0.193 0.281 1
O3 0.198 0.540 0.236 1
O4 0.219 0.846 0.220 1
```

Top 8 peaks for 10° ≤ 2θ ≤ 90°, low angle first:
| (hkl) | d [Å] | Position (°2θ) | intensity |
| --- | --- | --- | --- |
| 2 0 -1 | 3.136 | 28.46 | 100 |
| 0 2 1 | 3.007 | 29.71 | 98 |
| 1 1 1 | 2.984 | 29.95 | 45 |
| 2 2 0 | 2.564 | 35.00 | 26 |
| 1 3 0 | 2.541 | 35.33 | 26 |
| 1 3 1 | 2.089 | 43.32 | 24 |
| 2 2 -2 | 1.916 | 47.45 | 23 |
| 1 3 2 | 1.566 | 58.96 | 30 |


Diffraction record for ZnCu3P4O14. The powder X-ray diffraction pattern is calculated, not measured: it uses the PBE geometry in the Materials Project and λ = 1.5418 Å (Cu Kα).
No peak broadening, texture or thermal motion is included.

Structure:
```
data_ZnCu3P4O14
_symmetry_space_group_name_H-M 'P 1 21/c 1'
_symmetry_Int_Tables_number 14
_symmetry_space_group_name_Hall '-P 2ybc'
_cell_length_a 7.155
_cell_length_b 7.936
_cell_length_c 9.351
_cell_angle_alpha 90.00
_cell_angle_beta 106.98
_cell_angle_gamma 90.00
loop_
_atom_site_label
_atom_site_fract_x
_atom_site_fract_y
_atom_site_fract_z
_atom_site_occupancy
Zn1 0.000 0.000 0.000 1
Cu1 0.327 0.135 0.498 1
Cu2 0.500 0.000 0.000 1
P1 0.072 0.042 0.698 1
P2 0.385 0.712 0.198 1
O1 0.139 0.074 0.871 1
O2 0.144 0.513 0.857 1
O3 0.154 0.183 0.622 1
O4 0.170 0.635 0.174 1
O5 0.347 0.613 0.625 1
O6 0.474 0.711 0.372 1
O7 0.494 0.594 0.122 1
```

Top 8 peaks for 10° ≤ 2θ ≤ 90°, low angle first:
| (hkl) | d [Å] | Position (°2θ) | intensity |
| --- | --- | --- | --- |
| 0 0 2 | 4.471 | 19.86 | 38 |
| 1 2 0 | 3.430 | 25.98 | 49 |
| 1 2 1 | 3.062 | 29.17 | 100 |
| 2 1 -2 | 2.971 | 30.08 | 51 |
| 2 1 1 | 2.743 | 32.64 | 59 |
| 0 3 1 | 2.537 | 35.38 | 53 |
| 2 1 -3 | 2.527 | 35.52 | 39 |
| 0 3 3 | 1.979 | 45.86 | 27 |